CaUF6: calculated powder diffractogram (Cu Kα X-rays), based on DFT lattice parameters and positions (PBE).
No peak broadening, texture or thermal motion is included.

Top 10 peaks for 2θ = 10–80°, sorted by position:
two_theta	d_spacing	I (rel.)
12.4	7.151	768
24.9	3.576	297
25.2	3.532	558
28.2	3.167	1000
35.7	2.513	286
44.4	2.039	420
45.9	1.976	488
46.3	1.961	198
51.6	1.771	253
53.4	1.714	180

Structural model:
abc: 4.0782 4.0782 7.1514
angles: 90.00 90.00 120.00
Space group P-6m2 (No. 187)
Asymmetric unit:
Ca 0.0000 0.0000 0.0000 (multiplicity 1)
U 0.6667 0.3333 0.5000 (multiplicity 1)
F 0.0000 0.0000 0.3366 (multiplicity 2)
F 0.3333 0.6667 0.0000 (multiplicity 1)
F 0.3333 0.6667 0.5000 (multiplicity 1)
F 0.6667 0.3333 0.2004 (multiplicity 2)

***

Li2NbP5O15: calculated powder diffractogram (Cu Kα X-rays), based on DFT lattice parameters and positions (PBE).
No peak broadening, texture or thermal motion is included.

Top 10 peaks for 2θ = 10–80°, sorted by position:
two_theta	d_spacing	I (rel.)
10.2	8.699	1000
13.1	6.782	527
16.6	5.349	804
17.8	4.973	539
20.4	4.349	889
21.4	4.151	457
22.2	4.011	948
25.2	3.528	894
31.4	2.848	474
32.0	2.801	373

Structural model:
abc: 5.365 13.565 8.892
angles: 90.00 101.97 90.00
Space group P2_1/m (No. 11)
Asymmetric unit:
Li 0.057 0.122 0.087 (multiplicity 4)
Nb 0.500 0.000 0.500 (multiplicity 2)
P 0.004 0.142 0.515 (multiplicity 4)
P 0.337 0.078 0.819 (multiplicity 4)
P 0.458 0.750 0.984 (multiplicity 2)
O 0.063 0.250 0.461 (multiplicity 2)
O 0.126 0.074 0.417 (multiplicity 4)
O 0.150 0.143 0.690 (multiplicity 4)
O 0.186 0.038 0.929 (multiplicity 4)
O 0.197 0.750 0.883 (multiplicity 2)
O 0.278 0.632 0.490 (multiplicity 4)
O 0.300 0.250 0.076 (multiplicity 2)
O 0.459 0.658 0.103 (multiplicity 4)
O 0.485 0.008 0.737 (multiplicity 4)

***

Eu3As4: calculated powder diffractogram (Cu Kα X-rays), based on DFT lattice parameters and positions (PBE).
No peak broadening, texture or thermal motion is included.

Top 10 peaks for 2θ = 10–80°, sorted by position:
two_theta	d_spacing	I (rel.)
22.6	3.926	246
24.4	3.644	285
28.6	3.124	911
33.4	2.685	897
33.5	2.677	932
37.9	2.372	1000
44.4	2.038	658
49.1	1.855	404
59.8	1.548	236
59.9	1.545	258

Structural model:
abc: 5.776 14.585 9.102
angles: 90.00 108.47 90.00
Space group Cc (No. 9)
Asymmetric unit:
Eu 0.000 0.122 0.000 (multiplicity 4)
Eu 0.205 0.376 0.833 (multiplicity 4)
Eu 0.369 0.131 0.668 (multiplicity 4)
As 0.002 0.284 0.511 (multiplicity 4)
As 0.203 0.211 0.332 (multiplicity 4)
As 0.365 0.456 0.162 (multiplicity 4)
As 0.497 0.033 0.992 (multiplicity 4)

***

BaSrPrBiO6: calculated powder diffractogram (Cu Kα X-rays), based on DFT lattice parameters and positions (PBE).
No peak broadening, texture or thermal motion is included.

Top 10 peaks for 2θ = 10–80°, sorted by position:
two_theta	d_spacing	I (rel.)
17.3	5.113	50
20.1	4.428	109
28.5	3.131	1000
33.6	2.670	26
40.8	2.214	296
45.8	1.980	51
50.5	1.808	422
59.0	1.565	191
66.8	1.400	189
74.2	1.278	63

Structural model:
abc: 8.856 8.856 8.856
angles: 90.00 90.00 90.00
Space group F-43m (No. 216)
Asymmetric unit:
Ba 0.000 0.000 0.000 (multiplicity 4)
Sr 0.000 0.000 0.500 (multiplicity 4)
Pr 0.250 0.250 0.250 (multiplicity 4)
Bi 0.250 0.250 0.750 (multiplicity 4)
O 0.011 0.250 0.750 (multiplicity 24)